Theoretical powder XRD pattern of AgPd3 for CuKα, from a cell relaxed with PBE.
Intensities are scaled so that the largest is 100.

Unit cell a=4.657 b=5.611 c=4.906 alpha=90.00 beta=90.00 gamma=90.00
Space group Pmmn (No. 59, origin choice 2)
Unique sites:
Ag  0.250  0.250  0.161 (multiplicity 2)
Pd  0.250  0.000  0.662 (multiplicity 4)
Pd  0.250  0.750  0.169 (multiplicity 2)

Peak list (10 most intense, 2θ = 15–90°, sorted by position)
hkl 0 0 2, d 2.453, intensity 11; hkl 0 2 1, d 2.435, intensity 26; hkl 2 0 0, d 2.328, intensity 43; hkl 1 0 2, d 2.170, intensity 55; hkl 1 2 1, d 2.158, intensity 100; hkl 2 2 1, d 1.683, intensity 17; hkl 0 2 3, d 1.413, intensity 17; hkl 3 2 1, d 1.309, intensity 19; hkl 2 2 3, d 1.208, intensity 20; hkl 1 4 2, d 1.178, intensity 15